(1)
For Sr3ErSn, the GGA-PBE geometry in OQMD gives the computed powder diffractogram in this record (Cu Kα, 1.54184 Å).
Peak positions follow from Bragg's law for the DFT cell and can differ from measured ones.

Main lines, low angle first (2θ = 10–90°):
2θ (°)  d [Å]  Rel. int.
14.23  6.223  31
20.18  4.401  60
24.78  3.593  31
28.69  3.112  100
35.33  2.541  30
41.02  2.200  76
50.82  1.797  27
55.23  1.663  17
67.28  1.392  36
74.72  1.270  27

Cell lengths 6.2234, 6.2234, 6.2234 Å; angles 90.00, 90.00, 90.00 degrees
Fractional coordinates of all 5 atoms:
Sr 0.0000 0.0000 0.5000
Sr 0.0000 0.5000 0.0000
Sr 0.5000 0.0000 0.0000
Er 0.0000 0.0000 0.0000
Sn 0.5000 0.5000 0.5000


(2)
For TbErSn4, the GGA-PBE geometry in OQMD gives the computed powder diffractogram in this record (Cu Kα, 1.54184 Å).
Peak positions follow from Bragg's law for the DFT cell and can differ from measured ones.

Main lines, low angle first (2θ = 10–90°):
2θ (°)  d [Å]  Rel. int.
32.93  2.720  20
33.26  2.694  100
40.77  2.213  16
41.57  2.172  15
53.36  1.717  11
54.02  1.698  10
59.01  1.565  10
59.63  1.550  10
69.45  1.353  12
70.58  1.334  12

Cell lengths 4.3449, 8.4555, 8.4555 Å; angles 30.35, 90.00, 90.00 degrees
Fractional coordinates of all 6 atoms:
Tb 0.0000 0.0000 0.0000
Er 0.5000 0.1970 0.1970
Sn 0.0000 0.3495 0.3495
Sn 0.0000 0.6628 0.6628
Sn 0.5000 0.5351 0.5351
Sn 0.5000 0.8459 0.8459


(3)
For YErZn2Sn2, the GGA-PBE geometry in OQMD gives the computed powder diffractogram in this record (Cu Kα, 1.54184 Å).
Peak positions follow from Bragg's law for the DFT cell and can differ from measured ones.

Main lines, low angle first (2θ = 10–90°):
2θ (°)  d [Å]  Rel. int.
28.54  3.128  21
32.34  2.769  100
40.09  2.249  66
46.63  1.948  18
52.41  1.746  26
62.74  1.481  16
67.98  1.379  23
72.84  1.299  11
77.48  1.232  8
86.56  1.125  8

Cell lengths 4.4981, 4.4981, 15.7423 Å; angles 90.00, 90.00, 120.00 degrees
Fractional coordinates of all 12 atoms:
Y 0.0000 0.0000 0.2500
Y 0.0000 0.0000 0.7500
Er 0.0000 0.0000 0.0000
Er 0.0000 0.0000 0.5000
Zn 0.3333 0.6667 0.1598
Zn 0.3333 0.6667 0.3402
Zn 0.6667 0.3333 0.6598
Zn 0.6667 0.3333 0.8402
Sn 0.3333 0.6667 0.6119
Sn 0.3333 0.6667 0.8881
Sn 0.6667 0.3333 0.1119
Sn 0.6667 0.3333 0.3881


(4)
For Sr2Er, the GGA-PBE geometry in OQMD gives the computed powder diffractogram in this record (Cu Kα, 1.54184 Å).
Peak positions follow from Bragg's law for the DFT cell and can differ from measured ones.

Main lines, low angle first (2θ = 10–90°):
2θ (°)  d [Å]  Rel. int.
24.62  3.616  48
28.95  3.084  100
30.27  2.953  22
43.34  2.088  22
46.11  1.968  37
50.47  1.808  30
59.24  1.560  13
68.67  1.367  11
70.75  1.332  23
81.50  1.181  12

Cell lengths 7.2324, 7.2324, 7.2324 Å; angles 60.00, 60.00, 60.00 degrees
Fractional coordinates of all 6 atoms:
Sr 0.0000 0.0000 0.0000
Sr 0.0000 0.0000 0.5000
Sr 0.0000 0.5000 0.0000
Sr 0.5000 0.0000 0.0000
Er 0.3750 0.3750 0.3750
Er 0.6250 0.6250 0.6250


(5)
For SrErU, the GGA-PBE geometry in OQMD gives the computed powder diffractogram in this record (Cu Kα, 1.54184 Å).
Peak positions follow from Bragg's law for the DFT cell and can differ from measured ones.

Main lines, low angle first (2θ = 10–90°):
2θ (°)  d [Å]  Rel. int.
12.77  6.932  89
15.14  5.852  61
22.21  4.002  50
26.99  3.303  61
29.96  2.982  89
30.55  2.926  74
34.22  2.620  63
37.61  2.391  100
46.53  1.952  58
49.93  1.827  49

Cell lengths 8.0046, 8.0046, 5.8515 Å; angles 90.00, 90.00, 120.00 degrees
Fractional coordinates of all 9 atoms:
Sr 0.0000 0.5488 0.0000
Sr 0.4512 0.4512 0.0000
Sr 0.5488 0.0000 0.0000
Er 0.0000 0.0000 0.0000
Er 0.3333 0.6667 0.5000
Er 0.6667 0.3333 0.5000
U 0.0000 0.1812 0.5000
U 0.1812 0.0000 0.5000
U 0.8188 0.8188 0.5000


(6)
For Tb2Er, the GGA-PBE geometry in OQMD gives the computed powder diffractogram in this record (Cu Kα, 1.54184 Å).
Peak positions follow from Bragg's law for the DFT cell and can differ from measured ones.

Main lines, low angle first (2θ = 10–90°):
2θ (°)  d [Å]  Rel. int.
27.36  3.260  28
32.19  2.780  100
33.67  2.662  39
48.35  1.882  12
51.49  1.775  36
56.45  1.630  31
66.49  1.406  12
67.36  1.390  16
77.45  1.232  6
79.90  1.201  22

Cell lengths 6.5206, 6.5206, 6.5206 Å; angles 60.00, 60.00, 60.00 degrees
Fractional coordinates of all 6 atoms:
Tb 0.0000 0.0000 0.0000
Tb 0.0000 0.0000 0.5000
Tb 0.0000 0.5000 0.0000
Tb 0.5000 0.0000 0.0000
Er 0.3750 0.3750 0.3750
Er 0.6250 0.6250 0.6250


(7)
For ErTcTe, the GGA-PBE geometry in OQMD gives the computed powder diffractogram in this record (Cu Kα, 1.54184 Å).
Peak positions follow from Bragg's law for the DFT cell and can differ from measured ones.

Main lines, low angle first (2θ = 10–90°):
2θ (°)  d [Å]  Rel. int.
23.29  3.820  32
26.95  3.308  17
38.48  2.339  100
45.47  1.995  16
55.56  1.654  17
61.04  1.518  7
62.81  1.480  6
69.61  1.351  35
82.46  1.170  11
87.15  1.118  5

Cell lengths 4.6786, 4.6786, 4.6786 Å; angles 60.00, 60.00, 60.00 degrees
Fractional coordinates of all 3 atoms:
Er 0.0000 0.0000 0.0000
Tc 0.5000 0.5000 0.5000
Te 0.2500 0.2500 0.2500


(8)
For Er2TmTc, the GGA-PBE geometry in OQMD gives the computed powder diffractogram in this record (Cu Kα, 1.54184 Å).
Peak positions follow from Bragg's law for the DFT cell and can differ from measured ones.

Main lines, low angle first (2θ = 10–90°):
2θ (°)  d [Å]  Rel. int.
31.53  2.837  95
32.64  2.744  69
33.34  2.687  100
34.15  2.626  95
36.34  2.472  28
38.75  2.324  49
47.51  1.914  34
54.89  1.673  29
59.28  1.559  39
61.31  1.512  38

Cell lengths 6.2043, 6.2043, 9.0559 Å; angles 90.00, 90.00, 144.07 degrees
Fractional coordinates of all 8 atoms:
Er 0.1434 0.8566 0.5646
Er 0.1434 0.8566 0.9354
Er 0.8566 0.1434 0.0646
Er 0.8566 0.1434 0.4354
Tm 0.4292 0.5708 0.7500
Tm 0.5708 0.4292 0.2500
Tc 0.2390 0.7610 0.2500
Tc 0.7610 0.2390 0.7500


(9)
For YEr2Te3, the GGA-PBE geometry in OQMD gives the computed powder diffractogram in this record (Cu Kα, 1.54184 Å).
Peak positions follow from Bragg's law for the DFT cell and can differ from measured ones.

Main lines, low angle first (2θ = 10–90°):
2θ (°)  d [Å]  Rel. int.
16.69  5.311  1
23.73  3.750  1
25.18  3.536  2
29.15  3.063  100
41.70  2.166  75
51.69  1.768  27
60.45  1.532  13
68.50  1.370  34
76.11  1.251  19
76.17  1.250  6

Cell lengths 4.3297, 4.3297, 10.6212 Å; angles 90.00, 90.00, 120.00 degrees
Fractional coordinates of all 6 atoms:
Y 0.0000 0.0000 0.0000
Er 0.3333 0.6667 0.6656
Er 0.6667 0.3333 0.3344
Te 0.0000 0.0000 0.5000
Te 0.3333 0.6667 0.1699
Te 0.6667 0.3333 0.8301


(10)
For Y5Er3Te, the GGA-PBE geometry in OQMD gives the computed powder diffractogram in this record (Cu Kα, 1.54184 Å).
Peak positions follow from Bragg's law for the DFT cell and can differ from measured ones.

Main lines, low angle first (2θ = 10–90°):
2θ (°)  d [Å]  Rel. int.
11.11  7.967  16
29.67  3.011  44
30.54  2.927  100
32.59  2.748  55
33.75  2.656  73
38.15  2.359  41
47.95  1.897  16
55.83  1.647  41
59.92  1.544  27
70.31  1.339  16

Cell lengths 9.1990, 9.1990, 3.7947 Å; angles 90.00, 90.00, 120.00 degrees
Fractional coordinates of all 9 atoms:
Y 0.0000 0.6170 0.0000
Y 0.3333 0.6667 0.5000
Y 0.3830 0.3830 0.0000
Y 0.6170 0.0000 0.0000
Y 0.6667 0.3333 0.5000
Er 0.0000 0.2735 0.5000
Er 0.2735 0.0000 0.5000
Er 0.7265 0.7265 0.5000
Te 0.0000 0.0000 0.0000


(11)
For ErTh, the GGA-PBE geometry in OQMD gives the computed powder diffractogram in this record (Cu Kα, 1.54184 Å).
Peak positions follow from Bragg's law for the DFT cell and can differ from measured ones.

Main lines, low angle first (2θ = 10–90°):
2θ (°)  d [Å]  Rel. int.
29.29  3.049  24
30.48  2.933  27
33.11  2.705  100
42.78  2.114  18
51.95  1.760  19
55.86  1.646  23
61.43  1.509  23
63.00  1.475  16
85.96  1.131  14
86.34  1.127  9

Cell lengths 3.5206, 3.5206, 5.8663 Å; angles 90.00, 90.00, 120.00 degrees
Fractional coordinates of all 2 atoms:
Er 0.0000 0.0000 0.0000
Th 0.6667 0.3333 0.5000


(12)
For Er3Tm5, the GGA-PBE geometry in OQMD gives the computed powder diffractogram in this record (Cu Kα, 1.54184 Å).
Peak positions follow from Bragg's law for the DFT cell and can differ from measured ones.

Main lines, low angle first (2θ = 10–90°):
2θ (°)  d [Å]  Rel. int.
29.00  3.079  24
32.49  2.756  24
33.34  2.688  100
44.11  2.053  15
51.41  1.777  20
58.51  1.578  20
62.15  1.494  22
62.66  1.483  16
81.60  1.180  8
85.24  1.138  14

Cell lengths 5.5111, 7.1098, 7.1098 Å; angles 60.00, 90.00, 90.00 degrees
Fractional coordinates of all 8 atoms:
Er 0.0000 0.0000 0.0000
Er 0.0000 0.5002 0.5002
Er 0.5000 0.3331 0.3331
Tm 0.0000 0.5000 0.9994
Tm 0.0000 0.9994 0.5000
Tm 0.5000 0.3338 0.8331
Tm 0.5000 0.8331 0.3338
Tm 0.5000 0.8329 0.8329